Entry 1:
Structure and theoretical X-ray powder pattern of CoO (a PBE+U-relaxed structure; Cu Kα (weighted mean of Kα1 and Kα2)).
Peak positions follow from Bragg's law for the DFT cell and can differ from measured ones.

Most intense lines, 10° ≤ 2θ ≤ 90°, by intensity:
2θ/deg	intensity
33.76	100.0
67.53	25.3
39.18	25.0
56.55	21.8
56.67	21.7
67.65	8.3
84.22	6.0
70.95	4.3
71.16	1.4

Crystal structure
Cell: 3.2487 3.2487 3.2487 Å, 60.12 60.12 60.12°
Fractional positions:
Co1 0.0000 0.0000 0.0000
O1 0.2504 0.2504 0.2504

---

Entry 2:
Structure and theoretical X-ray powder pattern of CoO2 (a PBE+U-relaxed structure; Cu Kα (weighted mean of Kα1 and Kα2)).
Peak positions follow from Bragg's law for the DFT cell and can differ from measured ones.

Most intense lines, 10° ≤ 2θ ≤ 90°, by intensity:
2θ/deg	intensity
18.53	100.0
44.77	27.9
37.23	20.4
44.52	14.1
36.90	10.3
58.66	9.7
68.83	8.6
65.60	7.9
64.35	6.6
48.88	5.5
58.50	4.9
38.85	4.9

Crystal structure
Cell: 2.8463 2.8463 5.0619 Å, 106.35 106.35 59.39°
Fractional positions:
Co1 0.0000 0.0000 0.0000
O1 0.2673 0.2673 0.8042
O2 0.7327 0.7327 0.1958

---

Entry 3:
Structure and theoretical X-ray powder pattern of CoO2 (a PBE+U-relaxed structure; Cu Kα (weighted mean of Kα1 and Kα2)).
Peak positions follow from Bragg's law for the DFT cell and can differ from measured ones.

Most intense lines, 10° ≤ 2θ ≤ 90°, by intensity:
2θ/deg	intensity
18.95	100.0
37.24	73.7
22.11	59.4
45.11	47.4
31.33	39.0
37.12	38.6
66.03	29.3
59.53	28.7
65.37	27.2
36.87	16.2
19.18	15.5
69.39	13.4

Crystal structure
Cell: 5.7109 5.7109 5.7109 Å, 59.41 59.41 59.41°
Fractional positions:
Co1 0.0000 0.0000 0.0000
Co2 0.1339 0.6175 0.6175
Co3 0.6175 0.1339 0.6175
Co4 0.6175 0.6175 0.1339
O1 0.3738 0.3738 0.8217
O2 0.3738 0.8217 0.3738
O3 0.3858 0.3858 0.3858
O4 0.3917 0.8815 0.8815
O5 0.8217 0.3738 0.3738
O6 0.8625 0.8625 0.8625
O7 0.8815 0.3917 0.8815
O8 0.8815 0.8815 0.3917